# HoMgNi2O6
Computed powder X-ray diffraction pattern, Cu Kα. Input: DFT lattice parameters and positions (PBE+U).
Kinematic intensities with the Lorentz-polarization factor, no thermal factor.

Top 8 peaks for 15° ≤ 2θ ≤ 90°, in order of rising 2θ:
20.40 deg, I 35, (1 1 0)
21.19 deg, I 42, (1 0 1)
34.36 deg, I 100, (2 1 1)
35.13 deg, I 23, (0 0 2)
40.95 deg, I 27, (3 0 1)
49.05 deg, I 19, (0 2 2)
55.45 deg, I 18, (1 3 1)
62.54 deg, I 23, (2 1 3)

Structure:
abc: 7.335 5.411 5.109
angles: 90.00 90.00 90.00
Sites, in units of the cell vectors:
Ho1 0.000 0.175 0.000
Ho2 0.500 0.825 0.500
Mg1 0.000 0.679 0.454
Mg2 0.500 0.321 0.954
Ni1 0.250 0.255 0.480
Ni2 0.250 0.745 0.980
Ni3 0.750 0.255 0.480
Ni4 0.750 0.745 0.980
O1 0.000 0.308 0.589
O2 0.000 0.783 0.847
O3 0.184 0.461 0.187
O4 0.192 0.941 0.294
O5 0.308 0.059 0.794
O6 0.316 0.539 0.687
O7 0.500 0.217 0.347
O8 0.500 0.692 0.089
O9 0.684 0.539 0.687
O10 0.692 0.059 0.794
O11 0.808 0.941 0.294
O12 0.816 0.461 0.187